Record 1
ZnGaNiHg: simulated powder XRD pattern (CuKα), based on a crystal structure in OQMD, relaxed with GGA-PBE.

Structure:
abc: 6.3257 6.3257 6.3257
angles: 90.00 90.00 90.00
Space group F-43m (No. 216)
Symmetry-distinct sites (fractional):
Zn1 0.0000 0.0000 0.0000 (multiplicity 4)
Ga1 0.0000 0.0000 0.5000 (multiplicity 4)
Ni1 0.2500 0.2500 0.7500 (multiplicity 4)
Hg1 0.2500 0.2500 0.2500 (multiplicity 4)

Main lines, in order of rising 2θ (2θ from 10° to 90°):
3.652 Å, I = 26; 3.163 Å, I = 11; 2.236 Å, I = 100; 1.907 Å, I = 14; 1.826 Å, I = 3; 1.581 Å, I = 17; 1.451 Å, I = 6; 1.414 Å, I = 4; 1.291 Å, I = 33; 1.217 Å, I = 5; 1.118 Å, I = 11

Record 2
TbErNi2Ge2C: simulated powder XRD pattern (CuKα), based on a crystal structure in OQMD, relaxed with GGA-PBE.

Structure:
abc: 10.9220 3.9135 6.8252
angles: 90.00 128.58 90.00
Space group Cm (No. 8)
Symmetry-distinct sites (fractional):
Tb1 0.0000 0.0000 0.0000 (multiplicity 2)
Er1 0.3779 0.5000 0.3352 (multiplicity 2)
Ni1 0.1345 0.5000 0.4684 (multiplicity 2)
Ni2 0.2422 0.0000 0.8655 (multiplicity 2)
Ge1 0.0955 0.5000 0.7839 (multiplicity 2)
Ge2 0.2826 0.0000 0.5503 (multiplicity 2)
C1 0.4367 0.0000 0.1699 (multiplicity 2)

Main lines, in order of rising 2θ (2θ from 10° to 90°):
3.558 Å, I = 22; 2.665 Å, I = 34; 2.657 Å, I = 77; 2.627 Å, I = 44; 2.462 Å, I = 100; 2.302 Å, I = 38; 2.199 Å, I = 30; 1.957 Å, I = 31; 1.806 Å, I = 15; 1.569 Å, I = 18; 1.462 Å, I = 16; 1.447 Å, I = 19

Copy entry 1 word for word.
ZnGaNiHg: simulated powder XRD pattern (CuKα), based on a crystal structure in OQMD, relaxed with GGA-PBE.

Structure:
abc: 6.3257 6.3257 6.3257
angles: 90.00 90.00 90.00
Space group F-43m (No. 216)
Symmetry-distinct sites (fractional):
Zn1 0.0000 0.0000 0.0000 (multiplicity 4)
Ga1 0.0000 0.0000 0.5000 (multiplicity 4)
Ni1 0.2500 0.2500 0.7500 (multiplicity 4)
Hg1 0.2500 0.2500 0.2500 (multiplicity 4)

Main lines, in order of rising 2θ (2θ from 10° to 90°):
3.652 Å, I = 26; 3.163 Å, I = 11; 2.236 Å, I = 100; 1.907 Å, I = 14; 1.826 Å, I = 3; 1.581 Å, I = 17; 1.451 Å, I = 6; 1.414 Å, I = 4; 1.291 Å, I = 33; 1.217 Å, I = 5; 1.118 Å, I = 11

What is the formula in the first record?
ZnGaNiHg